No. 1
# Zn2Pd3Au4
Computed X-ray powder pattern, a wavelength of 1.5418 Å. Input: a structure optimized by DFT (GGA-PBE).
Lines closer than 0.1° are merged.

Main lines, low angle first (2θ from 15° to 90°):
2θ (°), intensity
26.53, 22.6
33.24, 18.9
35.89, 27.6
37.14, 29.7
39.62, 47.2
40.20, 42.4
40.32, 100.0
43.00, 33.4
44.13, 21.7
46.20, 17.0
63.80, 17.4
79.19, 39.9

Cell: 7.896 7.896 7.896 Å, 159.02 121.29 63.06°
Fractional positions:
Zn (0.178, 0.000, 0.178)
Zn (0.822, 0.000, 0.822)
Pd (0.133, 0.633, 0.500)
Pd (0.500, 0.500, 0.000)
Pd (0.867, 0.367, 0.500)
Au (0.155, 0.831, 0.324)
Au (0.494, 0.169, 0.324)
Au (0.506, 0.831, 0.676)
Au (0.845, 0.169, 0.676)

No. 2
# Dy3Tm3TlIn2
Computed X-ray powder pattern, a wavelength of 1.5418 Å. Input: a structure optimized by DFT (GGA-PBE).
Lines closer than 0.1° are merged.

Main lines, low angle first (2θ from 15° to 90°):
2θ (°), intensity
30.74, 24.6
31.36, 100.0
33.51, 53.7
34.99, 86.2
39.32, 25.9
42.35, 9.7
47.69, 18.4
48.97, 15.8
57.82, 34.7
60.50, 9.5
61.59, 33.5
65.66, 15.9

Cell: 8.885 8.885 3.720 Å, 90.00 90.00 120.00°
Fractional positions:
Dy (0.000, 0.710, 0.000)
Dy (0.290, 0.290, 0.000)
Dy (0.710, 0.000, 0.000)
Tm (0.000, 0.380, 0.500)
Tm (0.380, 0.000, 0.500)
Tm (0.620, 0.620, 0.500)
Tl (0.000, 0.000, 0.500)
In (0.333, 0.667, 0.000)
In (0.667, 0.333, 0.000)

No. 3
# LuAl8Cu4
Computed X-ray powder pattern, a wavelength of 1.5418 Å. Input: a structure optimized by DFT (GGA-PBE).
Lines closer than 0.1° are merged.

Main lines, low angle first (2θ from 15° to 90°):
2θ (°), intensity
20.14, 20.5
28.65, 47.5
32.12, 10.5
35.28, 18.7
40.96, 100.0
46.05, 11.6
48.43, 6.8
55.14, 7.4
59.31, 28.1
67.17, 16.6
74.60, 19.3
88.81, 19.7

Cell: 6.731 6.731 6.731 Å, 98.23 98.23 135.55°
Fractional positions:
Lu (0.000, 0.000, 0.000)
Al (0.000, 0.347, 0.347)
Al (0.000, 0.653, 0.653)
Al (0.283, 0.500, 0.783)
Al (0.347, 0.000, 0.347)
Al (0.500, 0.283, 0.783)
Al (0.500, 0.717, 0.217)
Al (0.653, 0.000, 0.653)
Al (0.717, 0.500, 0.217)
Cu (0.000, 0.000, 0.500)
Cu (0.000, 0.500, 0.000)
Cu (0.500, 0.000, 0.000)
Cu (0.500, 0.500, 0.500)

No. 4
# Ti6Nb5Sn4
Computed X-ray powder pattern, a wavelength of 1.5418 Å. Input: a structure optimized by DFT (GGA-PBE).
Lines closer than 0.1° are merged.

Main lines, low angle first (2θ from 15° to 90°):
2θ (°), intensity
20.56, 16.1
22.65, 13.9
35.42, 54.2
36.42, 66.4
36.75, 39.3
39.27, 27.3
39.48, 100.0
42.59, 30.4
56.31, 12.6
62.64, 13.9
67.59, 17.4
74.68, 15.7

Cell: 13.042 13.042 14.801 Å, 90.00 90.00 166.94°
Fractional positions:
Ti (0.064, 0.936, 0.580)
Ti (0.064, 0.936, 0.920)
Ti (0.099, 0.901, 0.250)
Ti (0.263, 0.737, 0.578)
Ti (0.263, 0.737, 0.922)
Ti (0.400, 0.600, 0.250)
Ti (0.600, 0.400, 0.750)
Ti (0.737, 0.263, 0.078)
Ti (0.737, 0.263, 0.422)
Ti (0.901, 0.099, 0.750)
Ti (0.936, 0.064, 0.080)
Ti (0.936, 0.064, 0.420)
Nb (0.011, 0.989, 0.750)
Nb (0.145, 0.855, 0.079)
Nb (0.145, 0.855, 0.421)
Nb (0.201, 0.799, 0.750)
Nb (0.307, 0.693, 0.750)
Nb (0.693, 0.307, 0.250)
Nb (0.799, 0.201, 0.250)
Nb (0.855, 0.145, 0.579)
Nb (0.855, 0.145, 0.921)
Nb (0.989, 0.011, 0.250)
Sn (0.336, 0.664, 0.089)
Sn (0.336, 0.664, 0.411)
Sn (0.458, 0.542, 0.595)
Sn (0.458, 0.542, 0.905)
Sn (0.542, 0.458, 0.095)
Sn (0.542, 0.458, 0.405)
Sn (0.664, 0.336, 0.589)
Sn (0.664, 0.336, 0.911)

No. 5
# Be22Mo
Computed X-ray powder pattern, a wavelength of 1.5418 Å. Input: a structure optimized by DFT (GGA-PBE).
Lines closer than 0.1° are merged.

Main lines, low angle first (2θ from 15° to 90°):
2θ (°), intensity
21.73, 100.0
25.54, 73.2
30.92, 19.9
33.78, 30.7
38.12, 43.5
40.53, 22.5
44.30, 21.4
46.45, 54.6
49.86, 35.8
51.83, 26.1
59.84, 20.2
68.88, 20.7

Cell: 8.179 8.179 8.179 Å, 60.00 60.00 60.00°
Fractional positions:
Be (0.000, 0.000, 0.000)
Be (0.000, 0.000, 0.500)
Be (0.000, 0.500, 0.000)
Be (0.000, 0.500, 0.500)
Be (0.010, 0.010, 0.740)
Be (0.010, 0.740, 0.010)
Be (0.010, 0.740, 0.740)
Be (0.176, 0.176, 0.444)
Be (0.176, 0.176, 0.705)
Be (0.176, 0.444, 0.176)
Be (0.176, 0.444, 0.705)
Be (0.176, 0.705, 0.176)
Be (0.176, 0.705, 0.444)
Be (0.260, 0.260, 0.990)
Be (0.260, 0.990, 0.260)
Be (0.260, 0.990, 0.990)
Be (0.295, 0.556, 0.824)
Be (0.295, 0.824, 0.556)
Be (0.295, 0.824, 0.824)
Be (0.444, 0.176, 0.176)
Be (0.444, 0.176, 0.705)
Be (0.444, 0.705, 0.176)
Be (0.500, 0.000, 0.000)
Be (0.500, 0.000, 0.500)
Be (0.500, 0.500, 0.000)
Be (0.500, 0.500, 0.500)
Be (0.556, 0.295, 0.824)
Be (0.556, 0.824, 0.295)
Be (0.556, 0.824, 0.824)
Be (0.705, 0.176, 0.176)
Be (0.705, 0.176, 0.444)
Be (0.705, 0.444, 0.176)
Be (0.740, 0.010, 0.010)
Be (0.740, 0.010, 0.740)
Be (0.740, 0.740, 0.010)
Be (0.824, 0.295, 0.556)
Be (0.824, 0.295, 0.824)
Be (0.824, 0.556, 0.295)
Be (0.824, 0.556, 0.824)
Be (0.824, 0.824, 0.295)
Be (0.824, 0.824, 0.556)
Be (0.990, 0.260, 0.260)
Be (0.990, 0.260, 0.990)
Be (0.990, 0.990, 0.260)
Mo (0.375, 0.375, 0.375)
Mo (0.625, 0.625, 0.625)

No. 6
# Sr2Li3ErSb4
Computed X-ray powder pattern, a wavelength of 1.5418 Å. Input: a structure optimized by DFT (GGA-PBE).
Lines closer than 0.1° are merged.

Main lines, low angle first (2θ from 15° to 90°):
2θ (°), intensity
19.92, 16.4
23.86, 43.9
29.32, 19.2
30.32, 100.0
35.69, 13.8
37.37, 44.8
40.46, 27.7
42.67, 17.4
44.82, 16.2
53.87, 19.1
57.98, 12.5
63.08, 27.5

Cell: 4.812 4.812 11.804 Å, 90.00 90.00 90.00°
Fractional positions:
Sr (0.000, 0.500, 0.219)
Sr (0.500, 0.000, 0.781)
Li (0.000, 0.500, 0.880)
Li (0.500, 0.000, 0.120)
Li (0.500, 0.500, 0.500)
Er (0.000, 0.000, 0.500)
Sb (0.000, 0.000, 0.000)
Sb (0.000, 0.500, 0.650)
Sb (0.500, 0.000, 0.350)
Sb (0.500, 0.500, 0.000)

No. 7
# K3Si4
Computed X-ray powder pattern, a wavelength of 1.5418 Å. Input: a structure optimized by DFT (GGA-PBE).
Lines closer than 0.1° are merged.

Main lines, low angle first (2θ from 15° to 90°):
2θ (°), intensity
17.30, 20.8
25.46, 25.7
29.48, 70.2
30.95, 43.2
34.38, 100.0
38.13, 44.8
48.43, 11.0
52.29, 30.0
53.67, 31.1
64.09, 13.6
66.53, 15.9
87.21, 11.3

Cell: 6.998 6.998 5.124 Å, 90.00 90.00 120.00°
Fractional positions:
K (0.000, 0.500, 0.000)
K (0.500, 0.000, 0.000)
K (0.500, 0.500, 0.000)
Si (0.000, 0.000, 0.227)
Si (0.000, 0.000, 0.773)
Si (0.333, 0.667, 0.500)
Si (0.667, 0.333, 0.500)

No. 8
# Cs3HgF5
Computed X-ray powder pattern, a wavelength of 1.5418 Å. Input: a structure optimized by DFT (GGA-PBE).
Lines closer than 0.1° are merged.

Main lines, low angle first (2θ from 15° to 90°):
2θ (°), intensity
15.68, 12.7
24.71, 37.4
25.49, 100.0
27.86, 31.8
31.66, 27.2
35.37, 23.3
37.72, 13.2
40.57, 26.6
43.98, 25.2
47.20, 12.7
51.11, 12.0
57.57, 14.7

Cell: 7.993 7.993 7.207 Å, 90.00 90.00 90.00°
Fractional positions:
Cs (0.000, 0.000, 0.000)
Cs (0.175, 0.325, 0.500)
Cs (0.325, 0.825, 0.500)
Cs (0.500, 0.500, 0.000)
Cs (0.675, 0.175, 0.500)
Cs (0.825, 0.675, 0.500)
Hg (0.000, 0.500, 0.000)
Hg (0.500, 0.000, 0.000)
F (0.000, 0.000, 0.500)
F (0.144, 0.644, 0.208)
F (0.144, 0.644, 0.792)
F (0.356, 0.144, 0.208)
F (0.356, 0.144, 0.792)
F (0.500, 0.500, 0.500)
F (0.644, 0.856, 0.208)
F (0.644, 0.856, 0.792)
F (0.856, 0.356, 0.208)
F (0.856, 0.356, 0.792)

No. 9
# K3SnSe3
Computed X-ray powder pattern, a wavelength of 1.5418 Å. Input: a structure optimized by DFT (GGA-PBE).
Lines closer than 0.1° are merged.

Main lines, low angle first (2θ from 15° to 90°):
2θ (°), intensity
17.30, 36.3
19.56, 41.7
21.40, 37.9
28.25, 100.0
28.38, 38.0
28.53, 34.8
28.94, 49.6
29.49, 60.4
30.70, 49.0
31.31, 33.3
35.24, 30.7
39.89, 31.1

Cell: 9.235 13.028 9.034 Å, 90.00 115.96 90.00°
Fractional positions:
K (0.004, 0.165, 0.014)
K (0.004, 0.335, 0.514)
K (0.224, 0.569, 0.210)
K (0.224, 0.931, 0.710)
K (0.445, 0.213, 0.808)
K (0.445, 0.287, 0.308)
K (0.555, 0.713, 0.692)
K (0.555, 0.787, 0.192)
K (0.776, 0.069, 0.290)
K (0.776, 0.431, 0.790)
K (0.996, 0.665, 0.486)
K (0.996, 0.835, 0.986)
Sn (0.340, 0.508, 0.870)
Sn (0.340, 0.992, 0.370)
Sn (0.660, 0.008, 0.630)
Sn (0.660, 0.492, 0.130)
Se (0.172, 0.128, 0.429)
Se (0.172, 0.372, 0.929)
Se (0.242, 0.691, 0.878)
Se (0.242, 0.809, 0.378)
Se (0.346, 0.029, 0.095)
Se (0.346, 0.471, 0.595)
Se (0.654, 0.529, 0.405)
Se (0.654, 0.971, 0.905)
Se (0.758, 0.191, 0.622)
Se (0.758, 0.309, 0.122)
Se (0.828, 0.628, 0.071)
Se (0.828, 0.872, 0.571)

No. 10
# Nd7Sm2
Computed X-ray powder pattern, a wavelength of 1.5418 Å. Input: a structure optimized by DFT (GGA-PBE).
Lines closer than 0.1° are merged.

Main lines, low angle first (2θ from 15° to 90°):
2θ (°), intensity
26.81, 9.0
30.56, 73.1
30.83, 100.0
32.28, 21.1
37.03, 16.7
43.96, 23.9
52.42, 16.0
54.66, 22.5
54.83, 16.8
60.55, 29.2
64.23, 9.5
77.94, 11.9

Cell: 10.046 10.046 3.599 Å, 90.00 90.00 120.00°
Fractional positions:
Nd (0.000, 0.000, 0.000)
Nd (0.000, 0.311, 0.500)
Nd (0.000, 0.644, 0.000)
Nd (0.311, 0.000, 0.500)
Nd (0.356, 0.356, 0.000)
Nd (0.644, 0.000, 0.000)
Nd (0.689, 0.689, 0.500)
Sm (0.333, 0.667, 0.500)
Sm (0.667, 0.333, 0.500)

No. 11
# Ag5Pd4Pt
Computed X-ray powder pattern, a wavelength of 1.5418 Å. Input: a structure optimized by DFT (GGA-PBE).
Lines closer than 0.1° are merged.

Main lines, low angle first (2θ from 15° to 90°):
2θ (°), intensity
38.41, 100.0
38.71, 97.8
44.60, 32.3
44.94, 63.4
64.73, 10.3
65.13, 10.2
65.24, 10.0
65.38, 10.0
65.52, 19.8
78.37, 17.6
78.76, 17.5
83.03, 10.2

Cell: 4.929 5.760 6.378 Å, 76.98 75.01 73.41°
Fractional positions:
Ag (0.000, 0.000, 0.000)
Ag (0.200, 0.301, 0.603)
Ag (0.395, 0.101, 0.204)
Ag (0.605, 0.899, 0.796)
Ag (0.800, 0.699, 0.397)
Pd (0.199, 0.795, 0.599)
Pd (0.406, 0.596, 0.195)
Pd (0.594, 0.404, 0.805)
Pd (0.801, 0.205, 0.401)
Pt (0.000, 0.500, 0.000)